(1)
For Na2RuF5, a DFT-relaxed cell (PBE, Alexandria) gives the calculated PXRD pattern in this record (Cu Kα X-rays).
Neutral-atom scattering factors, no anomalous dispersion.

Crystal structure
```
data_Na2RuF5
_cell_length_a 4.092
_cell_length_b 6.029
_cell_length_c 6.245
_cell_angle_alpha 67.37
_cell_angle_beta 71.55
_cell_angle_gamma 70.33
_space_group_name_H-M_alt 'P 1'
_space_group_IT_number 1
loop_
_space_group_symop_operation_xyz
'x,y,z'
loop_
_atom_site_label
_atom_site_fract_x
_atom_site_fract_y
_atom_site_fract_z
Na1 0.000 0.000 0.000
Na2 0.461 0.614 0.478
Ru1 0.276 0.391 0.062
F1 0.062 0.576 0.308
F2 0.231 0.723 0.814
F3 0.352 0.035 0.270
F4 0.482 0.235 0.800
F5 0.774 0.386 0.070
```

Top 12 peaks for 2θ from 15° to 90°, most intense first:
two_theta	I (rel.)
15.7	100
16.4	60
23.8	42
23.6	42
18.9	28
26.2	27
44.3	24
41.4	22
45.9	21
30.9	20
38.4	18
25.3	15

=====

(2)
For K2Ac2US6, a DFT-relaxed cell (PBE, Alexandria) gives the calculated PXRD pattern in this record (Cu Kα X-rays).
Neutral-atom scattering factors, no anomalous dispersion.

Crystal structure
```
data_K2Ac2US6
_cell_length_a 7.531
_cell_length_b 12.851
_cell_length_c 7.865
_cell_angle_alpha 90.00
_cell_angle_beta 108.01
_cell_angle_gamma 90.00
_space_group_name_H-M_alt 'C 1 2/m 1'
_space_group_IT_number 12
loop_
_space_group_symop_operation_xyz
'x,y,z'
'-x,-y,-z'
'-x,y,-z'
'x,-y,z'
'x+1/2,y+1/2,z'
'-x+1/2,-y+1/2,-z'
'-x+1/2,y+1/2,-z'
'x+1/2,-y+1/2,z'
loop_
_atom_site_label
_atom_site_fract_x
_atom_site_fract_y
_atom_site_fract_z
K1 0.000 0.167 0.000
Ac1 0.000 0.335 0.500
U1 0.000 0.000 0.500
S1 0.218 0.157 0.699
S2 0.236 0.000 0.300
```

Top 12 peaks for 2θ from 15° to 90°, most intense first:
two_theta	I (rel.)
28.7	100
24.2	36
25.2	32
41.7	24
40.4	24
36.9	20
23.8	20
24.0	19
24.9	17
31.3	14
48.7	13
51.8	12

=====

Copy entry 2 word for word.
For K2Ac2US6, a DFT-relaxed cell (PBE, Alexandria) gives the calculated PXRD pattern in this record (Cu Kα X-rays).
Neutral-atom scattering factors, no anomalous dispersion.

Crystal structure
```
data_K2Ac2US6
_cell_length_a 7.531
_cell_length_b 12.851
_cell_length_c 7.865
_cell_angle_alpha 90.00
_cell_angle_beta 108.01
_cell_angle_gamma 90.00
_space_group_name_H-M_alt 'C 1 2/m 1'
_space_group_IT_number 12
loop_
_space_group_symop_operation_xyz
'x,y,z'
'-x,-y,-z'
'-x,y,-z'
'x,-y,z'
'x+1/2,y+1/2,z'
'-x+1/2,-y+1/2,-z'
'-x+1/2,y+1/2,-z'
'x+1/2,-y+1/2,z'
loop_
_atom_site_label
_atom_site_fract_x
_atom_site_fract_y
_atom_site_fract_z
K1 0.000 0.167 0.000
Ac1 0.000 0.335 0.500
U1 0.000 0.000 0.500
S1 0.218 0.157 0.699
S2 0.236 0.000 0.300
```

Top 12 peaks for 2θ from 15° to 90°, most intense first:
two_theta	I (rel.)
28.7	100
24.2	36
25.2	32
41.7	24
40.4	24
36.9	20
23.8	20
24.0	19
24.9	17
31.3	14
48.7	13
51.8	12